No. 1
Diffraction record for ScFeGe. The powder diffraction line list is simulated, not measured: it uses a crystal structure in the Materials Project, relaxed with GGA-PBE and a wavelength of 1.5418 Å.
Kinematic intensities with the Lorentz-polarization factor, no thermal factor.

Top 10 peaks for 2θ from 5° to 70°, in order of rising 2θ:
| two_theta | Rel. int. | h k l |
| --- | --- | --- |
| 22.4 | 11 | 0 0 1 |
| 27.5 | 30 | 1 1 0 |
| 35.7 | 59 | 1 1 1 |
| 39.3 | 100 | 2 0 1 |
| 42.5 | 39 | 2 1 0 |
| 45.8 | 34 | 0 0 2 |
| 48.6 | 78 | 3 0 0 |
| 64.2 | 11 | 3 1 1 |
| 64.3 | 20 | 2 1 2 |
| 69.0 | 15 | 3 0 2 |

Structural model:
```
data_ScFeGe
_chemical_formula_sum 'Sc3 Fe3 Ge3'
_cell_length_a 6.496
_cell_length_b 6.496
_cell_length_c 3.961
_cell_angle_alpha 90.00
_cell_angle_beta 90.00
_cell_angle_gamma 120.00
_symmetry_space_group_name_H-M 'P 1'
_symmetry_Int_Tables_number 1
_symmetry_space_group_name_Hall 'P 1'
loop_
_atom_site_label
_atom_site_type_symbol
_atom_site_fract_x
_atom_site_fract_y
_atom_site_fract_z
Sc1 Sc 0.000 0.578 0.000
Sc2 Sc 0.422 0.422 0.000
Sc3 Sc 0.578 0.000 0.000
Fe1 Fe 0.000 0.228 0.500
Fe2 Fe 0.228 0.000 0.500
Fe3 Fe 0.772 0.772 0.500
Ge1 Ge 0.000 0.000 0.000
Ge2 Ge 0.333 0.667 0.500
Ge3 Ge 0.667 0.333 0.500
```


No. 2
Diffraction record for UPH3C2O10. The powder diffraction line list is simulated, not measured: it uses a crystal structure in the Materials Project, relaxed with GGA-PBE and a wavelength of 1.5418 Å.
Kinematic intensities with the Lorentz-polarization factor, no thermal factor.

Top 10 peaks for 2θ from 5° to 70°, in order of rising 2θ:
| two_theta | Rel. int. | h k l |
| --- | --- | --- |
| 10.6 | 100 | 0 0 1 |
| 12.8 | 25 | 1 0 -1 |
| 16.9 | 57 | 1 1 0 |
| 18.1 | 45 | 1 1 -1 |
| 20.8 | 30 | 1 0 -2 |
| 21.7 | 47 | 2 0 -1 |
| 24.4 | 26 | 1 1 -2 |
| 25.4 | 25 | 0 2 0 |
| 27.6 | 22 | 0 2 1 |
| 37.4 | 22 | 1 2 2 |

Structural model:
```
data_UPH3C2O10
_chemical_formula_sum 'U2 P2 H6 C4 O20'
_cell_length_a 8.311
_cell_length_b 7.003
_cell_length_c 8.773
_cell_angle_alpha 90.00
_cell_angle_beta 107.79
_cell_angle_gamma 90.00
_symmetry_space_group_name_H-M 'P 1'
_symmetry_Int_Tables_number 1
_symmetry_space_group_name_Hall 'P 1'
loop_
_atom_site_label
_atom_site_type_symbol
_atom_site_fract_x
_atom_site_fract_y
_atom_site_fract_z
U1 U 0.224 0.000 0.422
U2 U 0.776 0.500 0.578
P1 P 0.323 0.487 0.376
P2 P 0.677 0.987 0.624
H1 H 0.180 0.579 0.099
H2 H 0.216 0.898 0.921
H3 H 0.263 0.340 0.120
H4 H 0.737 0.840 0.880
H5 H 0.784 0.398 0.079
H6 H 0.820 0.079 0.901
C1 C 0.026 0.362 0.160
C2 C 0.194 0.447 0.168
C3 C 0.806 0.947 0.832
C4 C 0.974 0.862 0.840
O1 O 0.005 0.855 0.263
O2 O 0.013 0.208 0.226
O3 O 0.106 0.962 0.922
O4 O 0.132 0.004 0.586
O5 O 0.267 0.679 0.431
O6 O 0.288 0.322 0.477
O7 O 0.339 0.014 0.275
O8 O 0.404 0.794 0.958
O9 O 0.425 0.483 0.887
O10 O 0.492 0.995 0.621
O11 O 0.508 0.495 0.379
O12 O 0.575 0.983 0.113
O13 O 0.596 0.294 0.042
O14 O 0.661 0.514 0.725
O15 O 0.712 0.822 0.523
O16 O 0.733 0.179 0.569
O17 O 0.868 0.504 0.414
O18 O 0.894 0.462 0.078
O19 O 0.987 0.708 0.774
O20 O 0.995 0.355 0.737
```


No. 3
Diffraction record for LiO. The powder diffraction line list is simulated, not measured: it uses a crystal structure in the Materials Project, relaxed with GGA-PBE and a wavelength of 1.5418 Å.
Kinematic intensities with the Lorentz-polarization factor, no thermal factor.

Top 3 peaks for 2θ from 5° to 70°, in order of rising 2θ:
| two_theta | Rel. int. | h k l |
| --- | --- | --- |
| 35.4 | 49 | 1 0 0 |
| 50.9 | 100 | 1 1 0 |
| 63.5 | 5 | 1 1 1 |

Structural model:
```
data_LiO
_chemical_formula_sum 'Li1 O1'
_cell_length_a 2.538
_cell_length_b 2.538
_cell_length_c 2.538
_cell_angle_alpha 90.00
_cell_angle_beta 90.00
_cell_angle_gamma 90.00
_symmetry_space_group_name_H-M 'P 1'
_symmetry_Int_Tables_number 1
_symmetry_space_group_name_Hall 'P 1'
loop_
_atom_site_label
_atom_site_type_symbol
_atom_site_fract_x
_atom_site_fract_y
_atom_site_fract_z
Li1 Li 0.000 0.000 0.000
O1 O 0.500 0.500 0.500
```


No. 4
Diffraction record for AlV12Ge3. The powder diffraction line list is simulated, not measured: it uses a crystal structure in the Materials Project, relaxed with GGA-PBE and a wavelength of 1.5418 Å.
Kinematic intensities with the Lorentz-polarization factor, no thermal factor.

Top 10 peaks for 2θ from 5° to 70°, in order of rising 2θ:
| two_theta | Rel. int. | h k l |
| --- | --- | --- |
| 9.3 | 4 | 0 0 1 |
| 18.6 | 3 | 1 0 0 |
| 20.8 | 3 | 0 1 1 |
| 26.4 | 3 | 1 0 2 |
| 28.0 | 2 | 1 1 1 |
| 37.7 | 45 | 2 0 0 |
| 38.9 | 1 | 0 2 1 |
| 42.3 | 100 | 1 0 4 |
| 46.6 | 96 | 1 2 2 |
| 68.0 | 5 | 2 2 4 |

Structural model:
```
data_AlV12Ge3
_chemical_formula_sum 'Al1 V12 Ge3'
_cell_length_a 4.771
_cell_length_b 4.776
_cell_length_c 9.556
_cell_angle_alpha 90.00
_cell_angle_beta 90.00
_cell_angle_gamma 90.00
_symmetry_space_group_name_H-M 'P 1'
_symmetry_Int_Tables_number 1
_symmetry_space_group_name_Hall 'P 1'
loop_
_atom_site_label
_atom_site_type_symbol
_atom_site_fract_x
_atom_site_fract_y
_atom_site_fract_z
Al1 Al 0.000 0.000 0.000
V1 V 0.000 0.500 0.125
V2 V 0.000 0.500 0.375
V3 V 0.000 0.500 0.625
V4 V 0.000 0.500 0.875
V5 V 0.251 0.000 0.250
V6 V 0.251 0.000 0.750
V7 V 0.500 0.249 0.000
V8 V 0.500 0.250 0.500
V9 V 0.500 0.750 0.500
V10 V 0.500 0.751 0.000
V11 V 0.749 0.000 0.250
V12 V 0.749 0.000 0.750
Ge1 Ge 0.000 0.000 0.500
Ge2 Ge 0.500 0.500 0.250
Ge3 Ge 0.500 0.500 0.750
```